(1)
This entry pairs a crystal structure of NaCd2Rh with its simulated PXRD pattern. Radiation: a wavelength of 1.5418 Å. Structure: a structure optimized by DFT (GGA-PBE).

Top 6 peaks for 2θ from 10° to 90°, in order of falling intensity:
hkl 2 2 0, 2θ 37.8, I = 100.0; hkl 4 2 2, 2θ 68.2, I = 32.8; hkl 4 0 0, 2θ 54.5, I = 16.6; hkl 1 1 1, 2θ 22.9, I = 12.7; hkl 4 4 0, 2θ 80.7, I = 10.2; hkl 2 0 0, 2θ 26.5, I = 9.8

Structural model:
Lattice parameters (Å, degrees): 6.7387 6.7387 6.7387 90.00 90.00 90.00
Space group Fm-3m (No. 225)
Asymmetric unit:
Na (0.0000, 0.0000, 0.0000)
Cd (0.2500, 0.2500, 0.2500)
Rh (0.0000, 0.0000, 0.5000)


(2)
This entry pairs a crystal structure of VZnCu3Se4 with its simulated PXRD pattern. Radiation: a wavelength of 1.5418 Å. Structure: a structure optimized by DFT (GGA-PBE).

Top 6 peaks for 2θ from 10° to 90°, in order of falling intensity:
hkl 2 2 0, 2θ 44.9, I = 100.0; hkl 1 1 1, 2θ 27.0, I = 99.8; hkl 3 1 1, 2θ 53.1, I = 43.9; hkl 4 2 2, 2θ 82.7, I = 31.1; hkl 3 3 1, 2θ 72.0, I = 17.1; hkl 4 0 0, 2θ 65.3, I = 15.4

Structural model:
Lattice parameters (Å, degrees): 5.7158 5.7158 5.7158 90.00 90.00 90.00
Space group P-43m (No. 215)
Asymmetric unit:
V (0.0000, 0.0000, 0.0000)
Zn (0.5000, 0.5000, 0.5000)
Cu (0.0000, 0.0000, 0.5000)
Se (0.2456, 0.2456, 0.2456)


(3)
This entry pairs a crystal structure of Zn3P2O12 with its simulated PXRD pattern. Radiation: a wavelength of 1.5418 Å. Structure: a structure optimized by DFT (GGA-PBE).

Top 6 peaks for 2θ from 10° to 90°, in order of falling intensity:
hkl 1 0 -1, 2θ 20.0, I = 100.0; hkl 0 2 -1, 2θ 30.4, I = 86.4; hkl -1 1 1, 2θ 26.5, I = 80.3; hkl 0 0 1, 2θ 11.9, I = 74.7; hkl 1 0 0, 2θ 17.5, I = 64.5; hkl 2 0 -1, 2θ 36.0, I = 60.9

Structural model:
Lattice parameters (Å, degrees): 5.1114 5.9642 7.6433 102.59 96.41 90.28
Space group P-1 (No. 2)
Asymmetric unit:
Zn (0.0000, 0.0000, 0.0000)
Zn (0.1536, 0.7143, 0.3787)
P (0.3016, 0.2142, 0.3696)
O (0.1827, 0.9752, 0.2578)
O (0.2061, 0.2773, 0.5567)
O (0.2059, 0.3951, 0.2574)
O (0.2826, 0.2373, 0.9735)
O (0.3355, 0.8299, 0.9114)
O (0.3939, 0.7953, 0.6074)